1.
The following is a simulated X-ray diffraction stick pattern of Ba2CuS2O2. It was derived from a PBE-relaxed structure, using a wavelength of 1.5418 Å.
Kinematic intensities with the Lorentz-polarization factor, no thermal factor.

Structural model:
```
data_Ba2CuS2O2
_chemical_formula_sum 'Ba2 Cu1 S2 O2'
_symmetry_space_group_name_H-M 'P 4/m m m'
_symmetry_Int_Tables_number 123
_symmetry_space_group_name_Hall '-P 4 2'
_cell_length_a 4.151
_cell_length_b 4.151
_cell_length_c 8.548
_cell_angle_alpha 90.00
_cell_angle_beta 90.00
_cell_angle_gamma 90.00
loop_
_atom_site_label
_atom_site_type_symbol
_atom_site_fract_x
_atom_site_fract_y
_atom_site_fract_z
_atom_site_occupancy
Ba1 Ba 0.000 0.000 0.215 1
Cu1 Cu 0.500 0.500 0.000 1
S1 S 0.500 0.500 0.377 1
O1 O 0.000 0.500 0.000 1
```

Most intense lines, 10 to 80 degrees two-theta, by angle:
- 10.3 deg, intensity 37
- 21.4 deg, intensity 18
- 30.0 deg, intensity 100
- 30.5 deg, intensity 67
- 37.2 deg, intensity 23
- 38.3 deg, intensity 40
- 43.6 deg, intensity 34
- 53.8 deg, intensity 37
- 59.4 deg, intensity 21
- 62.9 deg, intensity 13

=====

2.
The following is a simulated X-ray diffraction stick pattern of Pm2Nd5Tm5. It was derived from a PBE-relaxed structure, using a wavelength of 1.5418 Å.
Kinematic intensities with the Lorentz-polarization factor, no thermal factor.

Structural model:
```
data_Pm2Nd5Tm5
_chemical_formula_sum 'Pm4 Nd10 Tm10'
_symmetry_space_group_name_H-M 'C 1 2/m 1'
_symmetry_Int_Tables_number 12
_cell_length_a 15.259
_cell_length_b 5.064
_cell_length_c 11.410
_cell_angle_alpha 90.00
_cell_angle_beta 116.63
_cell_angle_gamma 90.00
loop_
_symmetry_equiv_pos_as_xyz
'x,y,z'
'-x,-y,-z'
'-x,y,-z'
'x,-y,z'
'x+1/2,y+1/2,z'
'-x+1/2,-y+1/2,-z'
'-x+1/2,y+1/2,-z'
'x+1/2,-y+1/2,z'
loop_
_atom_site_label
_atom_site_type_symbol
_atom_site_fract_x
_atom_site_fract_y
_atom_site_fract_z
_atom_site_occupancy
Pm1 Pm 0.083 0.000 0.252 1
Nd1 Nd 0.000 0.000 0.500 1
Nd2 Nd 0.165 0.000 0.999 1
Nd3 Nd 0.249 0.000 0.747 1
Tm1 Tm 0.000 0.500 0.000 1
Tm2 Tm 0.082 0.500 0.749 1
Tm3 Tm 0.167 0.500 0.501 1
```

Most intense lines, 10 to 80 degrees two-theta, by angle:
- 30.5 deg, intensity 100
- 35.2 deg, intensity 34
- 35.5 deg, intensity 17
- 50.8 deg, intensity 18
- 50.9 deg, intensity 12
- 60.2 deg, intensity 7
- 60.3 deg, intensity 14
- 60.4 deg, intensity 7
- 60.6 deg, intensity 14
- 63.3 deg, intensity 6

=====

3.
The following is a simulated X-ray diffraction stick pattern of K3H4Br4. It was derived from a PBE-relaxed structure, using a wavelength of 1.5418 Å.
Kinematic intensities with the Lorentz-polarization factor, no thermal factor.

Structural model:
```
data_K3H4Br4
_chemical_formula_sum 'K6 H8 Br8'
_symmetry_space_group_name_H-M 'C 1 2/m 1'
_symmetry_Int_Tables_number 12
_cell_length_a 16.266
_cell_length_b 7.237
_cell_length_c 5.444
_cell_angle_alpha 90.00
_cell_angle_beta 102.85
_cell_angle_gamma 90.00
loop_
_symmetry_equiv_pos_as_xyz
'x,y,z'
'-x,-y,-z'
'-x,y,-z'
'x,-y,z'
'x+1/2,y+1/2,z'
'-x+1/2,-y+1/2,-z'
'-x+1/2,y+1/2,-z'
'x+1/2,-y+1/2,z'
loop_
_atom_site_label
_atom_site_type_symbol
_atom_site_fract_x
_atom_site_fract_y
_atom_site_fract_z
_atom_site_occupancy
K1 K 0.000 0.000 0.000 1
K2 K 0.193 0.500 0.220 1
H1 H 0.075 0.298 0.773 1
Br1 Br 0.000 0.276 0.500 1
Br2 Br 0.200 0.000 0.209 1
```

Most intense lines, 10 to 80 degrees two-theta, by angle:
- 20.5 deg, intensity 46
- 22.1 deg, intensity 80
- 22.4 deg, intensity 59
- 24.9 deg, intensity 76
- 27.1 deg, intensity 100
- 29.9 deg, intensity 50
- 30.6 deg, intensity 67
- 33.1 deg, intensity 58
- 40.0 deg, intensity 66
- 42.7 deg, intensity 54

=====

4.
The following is a simulated X-ray diffraction stick pattern of La4CuBr2Cl. It was derived from a PBE-relaxed structure, using a wavelength of 1.5418 Å.
Kinematic intensities with the Lorentz-polarization factor, no thermal factor.

Structural model:
```
data_La4CuBr2Cl
_chemical_formula_sum 'La4 Cu1 Br2 Cl1'
_symmetry_space_group_name_H-M 'P 1 2/m 1'
_symmetry_Int_Tables_number 10
_cell_length_a 7.038
_cell_length_b 4.130
_cell_length_c 8.210
_cell_angle_alpha 90.00
_cell_angle_beta 108.31
_cell_angle_gamma 90.00
loop_
_symmetry_equiv_pos_as_xyz
'x,y,z'
'-x,-y,-z'
'-x,y,-z'
'x,-y,z'
loop_
_atom_site_label
_atom_site_type_symbol
_atom_site_fract_x
_atom_site_fract_y
_atom_site_fract_z
_atom_site_occupancy
La1 La 0.232 0.000 0.220 1
La2 La 0.258 0.500 0.784 1
Cu1 Cu 0.500 0.000 0.000 1
Br1 Br 0.000 0.000 0.500 1
Br2 Br 0.500 0.500 0.500 1
Cl1 Cl 0.000 0.500 0.000 1
```

Most intense lines, 10 to 80 degrees two-theta, by angle:
- 26.0 deg, intensity 16
- 29.2 deg, intensity 52
- 29.6 deg, intensity 100
- 39.6 deg, intensity 39
- 40.7 deg, intensity 18
- 43.8 deg, intensity 18
- 44.4 deg, intensity 34
- 46.6 deg, intensity 9
- 53.6 deg, intensity 19
- 61.4 deg, intensity 10

=====

5.
The following is a simulated X-ray diffraction stick pattern of ZrBeMo. It was derived from a PBE-relaxed structure, using a wavelength of 1.5418 Å.
Kinematic intensities with the Lorentz-polarization factor, no thermal factor.

Structural model:
```
data_ZrBeMo
_chemical_formula_sum 'Zr4 Be4 Mo4'
_symmetry_space_group_name_H-M 'I m m a'
_symmetry_Int_Tables_number 74
_symmetry_space_group_name_Hall '-I 2b 2'
_cell_length_a 5.033
_cell_length_b 5.235
_cell_length_c 7.280
_cell_angle_alpha 90.00
_cell_angle_beta 90.00
_cell_angle_gamma 90.00
loop_
_atom_site_label
_atom_site_type_symbol
_atom_site_fract_x
_atom_site_fract_y
_atom_site_fract_z
_atom_site_occupancy
Zr1 Zr 0.000 0.250 0.121 1
Be1 Be 0.000 0.000 0.500 1
Mo1 Mo 0.250 0.250 0.750 1
```

Most intense lines, 10 to 80 degrees two-theta, by angle:
- 21.5 deg, intensity 41
- 24.5 deg, intensity 30
- 34.3 deg, intensity 57
- 34.9 deg, intensity 55
- 40.8 deg, intensity 22
- 41.0 deg, intensity 57
- 41.7 deg, intensity 100
- 43.7 deg, intensity 20
- 66.4 deg, intensity 24
- 73.7 deg, intensity 26

=====

6.
The following is a simulated X-ray diffraction stick pattern of CdCuGeO4. It was derived from a PBE-relaxed structure, using a wavelength of 1.5418 Å.
Kinematic intensities with the Lorentz-polarization factor, no thermal factor.

Structural model:
```
data_CdCuGeO4
_chemical_formula_sum 'Cd4 Cu4 Ge4 O16'
_symmetry_space_group_name_H-M 'C m c m'
_symmetry_Int_Tables_number 63
_symmetry_space_group_name_Hall '-C 2c 2'
_cell_length_a 6.046
_cell_length_b 9.138
_cell_length_c 6.520
_cell_angle_alpha 90.00
_cell_angle_beta 90.00
_cell_angle_gamma 90.00
loop_
_atom_site_label
_atom_site_type_symbol
_atom_site_fract_x
_atom_site_fract_y
_atom_site_fract_z
_atom_site_occupancy
Cd1 Cd 0.000 0.000 0.000 1
Cu1 Cu 0.000 0.321 0.250 1
Ge1 Ge 0.000 0.367 0.750 1
O1 O 0.000 0.258 0.526 1
O2 O 0.226 0.496 0.750 1
```

Most intense lines, 10 to 80 degrees two-theta, by angle:
- 29.5 deg, intensity 57
- 32.7 deg, intensity 100
- 32.9 deg, intensity 74
- 45.5 deg, intensity 28
- 48.7 deg, intensity 16
- 54.5 deg, intensity 19
- 54.6 deg, intensity 19
- 56.5 deg, intensity 14
- 58.0 deg, intensity 30
- 66.9 deg, intensity 18

=====

7.
The following is a simulated X-ray diffraction stick pattern of SnPd12Au7. It was derived from a PBE-relaxed structure, using a wavelength of 1.5418 Å.
Kinematic intensities with the Lorentz-polarization factor, no thermal factor.

Structural model:
```
data_SnPd12Au7
_chemical_formula_sum 'Sn3 Pd36 Au21'
_symmetry_space_group_name_H-M 'R -3 m'
_symmetry_Int_Tables_number 166
_symmetry_space_group_name_Hall '-R 3 2"'
_cell_length_a 10.9210
_cell_length_b 10.9210
_cell_length_c 9.7625
_cell_angle_alpha 90.00
_cell_angle_beta 90.00
_cell_angle_gamma 120.00
loop_
_atom_site_label
_atom_site_type_symbol
_atom_site_fract_x
_atom_site_fract_y
_atom_site_fract_z
_atom_site_occupancy
Sn1 Sn 0.0000 0.0000 0.0000 1
Pd1 Pd 0.0000 0.2556 0.0000 1
Pd2 Pd 0.0452 0.5226 0.1250 1
Au1 Au 0.0000 0.0000 0.5000 1
Au2 Au 0.0880 0.1760 0.7480 1
```

Most intense lines, 10 to 80 degrees two-theta, by angle:
- 35.4 deg, intensity 37
- 38.1 deg, intensity 74
- 39.0 deg, intensity 68
- 39.2 deg, intensity 100
- 39.8 deg, intensity 68
- 42.5 deg, intensity 50
- 43.3 deg, intensity 18
- 64.4 deg, intensity 14
- 68.8 deg, intensity 26
- 72.0 deg, intensity 30

=====

8.
The following is a simulated X-ray diffraction stick pattern of RbNpP2N6. It was derived from a PBE-relaxed structure, using a wavelength of 1.5418 Å.
Kinematic intensities with the Lorentz-polarization factor, no thermal factor.

Structural model:
```
data_RbNpP2N6
_chemical_formula_sum 'Rb4 Np4 P8 N24'
_symmetry_space_group_name_H-M 'C 1 2/c 1'
_symmetry_Int_Tables_number 15
_cell_length_a 10.124
_cell_length_b 10.764
_cell_length_c 5.429
_cell_angle_alpha 90.00
_cell_angle_beta 104.05
_cell_angle_gamma 90.00
loop_
_symmetry_equiv_pos_as_xyz
'x,y,z'
'-x,-y,-z'
'-x,y,-z+1/2'
'x,-y,z+1/2'
'x+1/2,y+1/2,z'
'-x+1/2,-y+1/2,-z'
'-x+1/2,y+1/2,-z+1/2'
'x+1/2,-y+1/2,z+1/2'
loop_
_atom_site_label
_atom_site_type_symbol
_atom_site_fract_x
_atom_site_fract_y
_atom_site_fract_z
_atom_site_occupancy
Rb1 Rb 0.000 0.090 0.250 1
Np1 Np 0.000 0.300 0.750 1
P1 P 0.217 0.423 0.137 1
N1 N 0.087 0.325 0.100 1
N2 N 0.142 0.149 0.755 1
N3 N 0.189 0.465 0.829 1
```

Most intense lines, 10 to 80 degrees two-theta, by angle:
- 18.1 deg, intensity 76
- 19.0 deg, intensity 100
- 24.5 deg, intensity 56
- 26.4 deg, intensity 31
- 27.2 deg, intensity 75
- 32.7 deg, intensity 43
- 34.0 deg, intensity 37
- 36.6 deg, intensity 35
- 38.1 deg, intensity 35
- 43.0 deg, intensity 31

=====

9.
The following is a simulated X-ray diffraction stick pattern of Sc5Al2Ir2Rh. It was derived from a PBE-relaxed structure, using a wavelength of 1.5418 Å.
Kinematic intensities with the Lorentz-polarization factor, no thermal factor.

Structural model:
```
data_Sc5Al2Ir2Rh
_chemical_formula_sum 'Sc10 Al4 Ir4 Rh2'
_symmetry_space_group_name_H-M 'P 4/m b m'
_symmetry_Int_Tables_number 127
_symmetry_space_group_name_Hall '-P 4 2ab'
_cell_length_a 10.842
_cell_length_b 10.842
_cell_length_c 3.346
_cell_angle_alpha 90.00
_cell_angle_beta 90.00
_cell_angle_gamma 90.00
loop_
_atom_site_label
_atom_site_type_symbol
_atom_site_fract_x
_atom_site_fract_y
_atom_site_fract_z
_atom_site_occupancy
Sc1 Sc 0.000 0.500 0.000 1
Sc2 Sc 0.069 0.193 0.000 1
Al1 Al 0.178 0.678 0.500 1
Ir1 Ir 0.139 0.361 0.500 1
Rh1 Rh 0.000 0.000 0.500 1
```

Most intense lines, 10 to 80 degrees two-theta, by angle:
- 18.3 deg, intensity 100
- 26.0 deg, intensity 28
- 32.5 deg, intensity 26
- 35.1 deg, intensity 13
- 37.1 deg, intensity 12
- 37.6 deg, intensity 82
- 40.3 deg, intensity 27
- 42.9 deg, intensity 13
- 45.0 deg, intensity 18
- 47.4 deg, intensity 12

=====

10.
The following is a simulated X-ray diffraction stick pattern of ErTh3Ir8. It was derived from a PBE-relaxed structure, using a wavelength of 1.5418 Å.
Kinematic intensities with the Lorentz-polarization factor, no thermal factor.

Structural model:
```
data_ErTh3Ir8
_chemical_formula_sum 'Er3 Th9 Ir24'
_symmetry_space_group_name_H-M 'R 3 m'
_symmetry_Int_Tables_number 160
_symmetry_space_group_name_Hall 'R 3 -2"'
_cell_length_a 5.4280
_cell_length_b 5.4280
_cell_length_c 26.6117
_cell_angle_alpha 90.00
_cell_angle_beta 90.00
_cell_angle_gamma 120.00
loop_
_atom_site_label
_atom_site_type_symbol
_atom_site_fract_x
_atom_site_fract_y
_atom_site_fract_z
_atom_site_occupancy
Er1 Er 0.0000 0.0000 0.0000 1
Th1 Th 0.0000 0.0000 0.3719 1
Th2 Th 0.0000 0.0000 0.4977 1
Th3 Th 0.0000 0.0000 0.8758 1
Ir1 Ir 0.0000 0.0000 0.1863 1
Ir2 Ir 0.0000 0.0000 0.6859 1
Ir3 Ir 0.1672 0.3343 0.2702 1
Ir4 Ir 0.1669 0.3339 0.7691 1
```

Most intense lines, 10 to 80 degrees two-theta, by angle:
- 20.0 deg, intensity 3
- 33.0 deg, intensity 30
- 38.9 deg, intensity 100
- 40.7 deg, intensity 37
- 47.4 deg, intensity 4
- 51.9 deg, intensity 1
- 58.9 deg, intensity 12
- 62.9 deg, intensity 33
- 69.2 deg, intensity 29
- 78.8 deg, intensity 5

=====

11.
The following is a simulated X-ray diffraction stick pattern of TcHg2As. It was derived from a PBE-relaxed structure, using a wavelength of 1.5418 Å.
Kinematic intensities with the Lorentz-polarization factor, no thermal factor.

Structural model:
```
data_TcHg2As
_chemical_formula_sum 'Tc3 Hg6 As3'
_symmetry_space_group_name_H-M 'R 3 m'
_symmetry_Int_Tables_number 160
_symmetry_space_group_name_Hall 'R 3 -2"'
_cell_length_a 3.0636
_cell_length_b 3.0636
_cell_length_c 31.4038
_cell_angle_alpha 90.00
_cell_angle_beta 90.00
_cell_angle_gamma 120.00
loop_
_atom_site_label
_atom_site_type_symbol
_atom_site_fract_x
_atom_site_fract_y
_atom_site_fract_z
_atom_site_occupancy
Tc1 Tc 0.0000 0.0000 0.0000 1
Hg1 Hg 0.0000 0.0000 0.5107 1
Hg2 Hg 0.0000 0.0000 0.7431 1
As1 As 0.0000 0.0000 0.2782 1
```

Most intense lines, 10 to 80 degrees two-theta, by angle:
- 25.5 deg, intensity 35
- 34.3 deg, intensity 19
- 35.7 deg, intensity 100
- 36.8 deg, intensity 25
- 41.1 deg, intensity 52
- 51.1 deg, intensity 21
- 60.4 deg, intensity 24
- 61.1 deg, intensity 14
- 66.7 deg, intensity 17
- 75.7 deg, intensity 16

=====

12.
The following is a simulated X-ray diffraction stick pattern of Li5SmSe4. It was derived from a PBE-relaxed structure, using a wavelength of 1.5418 Å.
Kinematic intensities with the Lorentz-polarization factor, no thermal factor.

Structural model:
```
data_Li5SmSe4
_chemical_formula_sum 'Li10 Sm2 Se8'
_symmetry_space_group_name_H-M 'I m m m'
_symmetry_Int_Tables_number 71
_symmetry_space_group_name_Hall '-I 2 2'
_cell_length_a 4.138
_cell_length_b 7.529
_cell_length_c 14.110
_cell_angle_alpha 90.00
_cell_angle_beta 90.00
_cell_angle_gamma 90.00
loop_
_atom_site_label
_atom_site_type_symbol
_atom_site_fract_x
_atom_site_fract_y
_atom_site_fract_z
_atom_site_occupancy
Li1 Li 0.000 0.000 0.000 1
Li2 Li 0.000 0.208 0.321 1
Sm1 Sm 0.000 0.500 0.000 1
Se1 Se 0.000 0.269 0.500 1
Se2 Se 0.000 0.500 0.213 1
```

Most intense lines, 10 to 80 degrees two-theta, by angle:
- 12.5 deg, intensity 48
- 13.3 deg, intensity 93
- 24.5 deg, intensity 85
- 25.2 deg, intensity 64
- 32.8 deg, intensity 100
- 33.9 deg, intensity 28
- 35.5 deg, intensity 43
- 37.5 deg, intensity 20
- 43.8 deg, intensity 22
- 45.8 deg, intensity 73

=====

13.
The following is a simulated X-ray diffraction stick pattern of SiHg4Ru. It was derived from a PBE-relaxed structure, using a wavelength of 1.5418 Å.
Kinematic intensities with the Lorentz-polarization factor, no thermal factor.

Structural model:
```
data_SiHg4Ru
_chemical_formula_sum 'Si4 Hg16 Ru4'
_symmetry_space_group_name_H-M 'F -4 3 m'
_symmetry_Int_Tables_number 216
_symmetry_space_group_name_Hall 'F -4 2 3'
_cell_length_a 8.005
_cell_length_b 8.005
_cell_length_c 8.005
_cell_angle_alpha 90.00
_cell_angle_beta 90.00
_cell_angle_gamma 90.00
loop_
_atom_site_label
_atom_site_type_symbol
_atom_site_fract_x
_atom_site_fract_y
_atom_site_fract_z
_atom_site_occupancy
Si1 Si 0.000 0.000 0.000 1
Hg1 Hg 0.125 0.125 0.625 1
Ru1 Ru 0.250 0.250 0.250 1
```

Most intense lines, 10 to 80 degrees two-theta, by angle:
- 19.2 deg, intensity 65
- 37.3 deg, intensity 100
- 39.0 deg, intensity 78
- 45.3 deg, intensity 27
- 49.6 deg, intensity 18
- 60.1 deg, intensity 33
- 66.0 deg, intensity 34
- 69.5 deg, intensity 14
- 78.3 deg, intensity 12
- 79.4 deg, intensity 31